Computed powder XRD pattern
Compound: CaTl4Ni4O12
Radiation: Cu Kα (weighted mean of Kα1 and Kα2)
Structure: a structure optimized by DFT (GGA+U)
Intensities are scaled so that the largest is 100.

Cell and atoms:
a b c (Å): 5.4212 5.6361 8.9297
angles (deg): 82.44 83.89 85.35
Space group P1 (No. 1)
Inequivalent atoms, fractional coordinates:
Ca 0.0000 0.0000 0.0000 (multiplicity 1)
Tl 0.0623 0.0690 0.6343 (multiplicity 1)
Tl 0.1197 0.2737 0.2345 (multiplicity 1)
Tl 0.5711 0.7290 0.1889 (multiplicity 1)
Tl 0.6113 0.5809 0.6632 (multiplicity 1)
Ni 0.0557 0.5461 0.8790 (multiplicity 1)
Ni 0.1174 0.6481 0.4479 (multiplicity 1)
Ni 0.5405 0.0760 0.8628 (multiplicity 1)
Ni 0.6024 0.1338 0.4231 (multiplicity 1)
O 0.2174 0.6514 0.6633 (multiplicity 1)
O 0.2851 0.2807 0.9592 (multiplicity 1)
O 0.3082 0.9369 0.3578 (multiplicity 1)
O 0.3800 0.8107 0.9715 (multiplicity 1)
O 0.3937 0.4465 0.3512 (multiplicity 1)
O 0.4502 0.1551 0.6424 (multiplicity 1)
O 0.7611 0.0916 0.2118 (multiplicity 1)
O 0.8136 0.3147 0.8164 (multiplicity 1)
O 0.8163 0.8452 0.4973 (multiplicity 1)
O 0.8205 0.8450 0.8167 (multiplicity 1)
O 0.9008 0.3635 0.4694 (multiplicity 1)
O 0.9450 0.5949 0.1005 (multiplicity 1)

The 10 most intense peaks (15° ≤ 2θ ≤ 90°), most intense first:
| d/Å | intensity |
| --- | --- |
| 2.754 | 100 |
| 2.831 | 62 |
| 2.689 | 49 |
| 4.405 | 39 |
| 2.576 | 36 |
| 2.329 | 30 |
| 3.745 | 28 |
| 4.009 | 27 |
| 2.202 | 26 |
| 3.894 | 26 |